Record 1
Dy3YGa4: simulated powder diffraction line list (Cu Ka), based on a DFT-relaxed cell (GGA-PBE, OQMD).
No peak broadening, texture or thermal motion is included.

Crystal structure
Unit cell a=6.6326 b=6.9587 c=6.9587 alpha=36.38 beta=90.00 gamma=90.00
Atoms (fractional coordinates):
Dy  0.0000  0.0000  0.0000
Dy  0.0000  0.2759  0.2759
Dy  0.5000  0.8297  0.8297
Y  0.5000  0.1054  0.1054
Ga  0.1960  0.6509  0.6509
Ga  0.3034  0.4545  0.4545
Ga  0.6966  0.4545  0.4545
Ga  0.8040  0.6509  0.6509

Largest 10 diffraction maxima, sorted by position, 2θ from 10° to 90°:
| d/Å | 2theta | I (rel.) |
| --- | --- | --- |
| 3.504 | 25.4 | 18 |
| 2.960 | 30.2 | 31 |
| 2.804 | 31.9 | 100 |
| 2.585 | 34.7 | 54 |
| 2.341 | 38.5 | 22 |
| 2.259 | 39.9 | 23 |
| 2.172 | 41.6 | 26 |
| 1.949 | 46.6 | 15 |
| 1.838 | 49.6 | 16 |
| 1.535 | 60.3 | 15 |



Record 2
GdDyHf2Sb2: simulated powder diffraction line list (Cu Ka), based on a DFT-relaxed cell (GGA-PBE, OQMD).
No peak broadening, texture or thermal motion is included.

Crystal structure
Unit cell a=8.8221 b=8.8221 c=8.8221 alpha=151.99 beta=151.99 gamma=40.02
Atoms (fractional coordinates):
Gd  0.0000  0.0000  0.0000
Dy  0.3527  0.3527  0.0000
Hf  0.1770  0.6770  0.5000
Hf  0.6770  0.1770  0.5000
Sb  0.5458  0.5458  0.0000
Sb  0.8079  0.8079  0.0000

Largest 10 diffraction maxima, sorted by position, 2θ from 10° to 90°:
| d/Å | 2theta | I (rel.) |
| --- | --- | --- |
| 8.289 | 10.7 | 20 |
| 2.837 | 31.5 | 100 |
| 2.763 | 32.4 | 37 |
| 2.619 | 34.2 | 35 |
| 2.440 | 36.8 | 97 |
| 2.135 | 42.3 | 59 |
| 1.690 | 54.3 | 44 |
| 1.333 | 70.7 | 20 |
| 1.325 | 71.2 | 24 |
| 1.284 | 73.8 | 25 |



Record 3
GdDy2HoMg2: simulated powder diffraction line list (Cu Ka), based on a DFT-relaxed cell (GGA-PBE, OQMD).
No peak broadening, texture or thermal motion is included.

Crystal structure
Unit cell a=5.4732 b=8.8097 c=8.8097 alpha=24.00 beta=90.00 gamma=90.00
Atoms (fractional coordinates):
Gd  0.0000  0.0000  0.0000
Dy  0.0000  0.3198  0.3198
Dy  0.5000  0.1328  0.1328
Ho  0.5000  0.4527  0.4527
Mg  0.0000  0.6614  0.6614
Mg  0.5000  0.7916  0.7916

Largest 10 diffraction maxima, sorted by position, 2θ from 10° to 90°:
| d/Å | 2theta | I (rel.) |
| --- | --- | --- |
| 8.617 | 10.3 | 19 |
| 4.620 | 19.2 | 12 |
| 3.584 | 24.8 | 18 |
| 3.385 | 26.3 | 27 |
| 2.872 | 31.1 | 20 |
| 2.737 | 32.7 | 30 |
| 2.690 | 33.3 | 100 |
| 2.543 | 35.3 | 16 |
| 1.981 | 45.8 | 14 |
| 1.571 | 58.8 | 20 |